(1)
# Tm3Mg3ZnIr2
Computed X-ray diffraction stick pattern, Cu Kα, 1.54184 Å. Input: a cell relaxed with GGA-PBE.

a = 7.2939 Å, b = 7.2939 Å, c = 4.0116 Å
α = 90.00°, β = 90.00°, γ = 120.00°
Space group P-62m (No. 189)
Inequivalent atoms, fractional coordinates:
Tm  0.0000  0.4210  0.0000
Mg  0.0000  0.7498  0.5000
Zn  0.0000  0.0000  0.0000
Ir  0.3333  0.6667  0.5000

Main lines, low angle first (5 to 70 degrees two-theta):
d/Å	two_theta	intensity
6.317	14.02	50.8
3.647	24.41	33.4
2.699	33.20	100.0
2.482	36.20	90.2
2.388	37.68	24.5
2.106	42.95	26.2
2.006	45.21	21.1
1.752	52.21	20.9


(2)
# MoIr3
Computed X-ray diffraction stick pattern, Cu Kα, 1.54184 Å. Input: a cell relaxed with GGA-PBE.

a = 4.4137 Å, b = 9.5949 Å, c = 5.5356 Å
α = 90.00°, β = 90.00°, γ = 90.00°
Space group Ama2 (No. 40)
Inequivalent atoms, fractional coordinates:
Mo  0.2500  0.1670  0.0000
Ir  0.2500  0.1665  0.5010
Ir  0.2500  0.4170  0.2511
Ir  0.2500  0.4173  0.7515

Main lines, low angle first (5 to 70 degrees two-theta):
d/Å	two_theta	intensity
4.796	18.50	2.6
3.248	27.46	5.8
2.769	32.33	2.7
2.398	37.51	24.3
2.207	40.89	25.5
2.107	42.92	100.0
1.624	56.69	14.8
1.384	67.68	17.4


(3)
# MoIr3
Computed X-ray diffraction stick pattern, Cu Kα, 1.54184 Å. Input: a cell relaxed with GGA-PBE.

a = 4.4135 Å, b = 5.5330 Å, c = 9.5954 Å
α = 90.00°, β = 90.00°, γ = 90.00°
Space group Amm2 (No. 38)
Inequivalent atoms, fractional coordinates:
Mo  0.0000  0.0000  0.0000
Mo  0.5000  0.0000  0.3348
Ir  0.0000  0.0000  0.5011
Ir  0.0000  0.2502  0.2504
Ir  0.5000  0.0000  0.8342
Ir  0.5000  0.2495  0.5852

Main lines, low angle first (5 to 70 degrees two-theta):
d/Å	two_theta	intensity
4.795	18.50	2.7
3.247	27.47	5.8
2.768	32.34	2.7
2.397	37.52	24.3
2.207	40.89	25.5
2.107	42.93	100.0
1.624	56.70	14.8
1.384	67.69	17.4